This entry pairs a crystal structure of Dy3HoTl3 with its simulated X-ray powder pattern. Radiation: Cu Kα. Structure: a cell relaxed with GGA-PBE.
Kinematic intensities with the Lorentz-polarization factor, no thermal factor.

Structural model:
a b c (Å): 9.325 9.325 9.325
angles (deg): 90.00 90.00 90.00
Space group P2_13 (No. 198)
Unique sites:
Dy 0.073 0.427 0.573 (multiplicity 4)
Dy 0.176 0.176 0.176 (multiplicity 4)
Dy 0.176 0.824 0.324 (multiplicity 4)
Ho 0.073 0.573 0.927 (multiplicity 4)
Tl 0.000 0.251 0.874 (multiplicity 12)

Largest 12 diffraction maxima, in order of rising 2θ, 2θ from 10° to 90°:
23.37°, d = 3.807 Å, rel. 9
30.31°, d = 2.949 Å, rel. 100
36.04°, d = 2.492 Å, rel. 68
43.40°, d = 2.085 Å, rel. 17
45.63°, d = 1.988 Å, rel. 12
47.78°, d = 1.903 Å, rel. 14
49.87°, d = 1.829 Å, rel. 19
61.28°, d = 1.513 Å, rel. 29
63.05°, d = 1.474 Å, rel. 11
64.79°, d = 1.439 Å, rel. 15
69.89°, d = 1.346 Å, rel. 6
74.82°, d = 1.269 Å, rel. 18

This entry pairs a crystal structure of Dy4Ho2Tl with its simulated X-ray powder pattern. Radiation: Cu Kα. Structure: a cell relaxed with GGA-PBE.
Kinematic intensities with the Lorentz-polarization factor, no thermal factor.

Structural model:
a b c (Å): 3.524 21.110 11.498
angles (deg): 90.00 90.11 90.00
Space group P2_1/c (No. 14)
Unique sites:
Dy 0.244 0.244 0.171 (multiplicity 4)
Dy 0.246 0.542 0.616 (multiplicity 4)
Dy 0.247 0.038 0.384 (multiplicity 4)
Dy 0.252 0.688 0.074 (multiplicity 4)
Ho 0.253 0.101 0.649 (multiplicity 4)
Ho 0.256 0.604 0.342 (multiplicity 4)
Tl 0.253 0.174 0.917 (multiplicity 4)

Largest 12 diffraction maxima, in order of rising 2θ, 2θ from 10° to 90°:
29.39°, d = 3.039 Å, rel. 43
29.77°, d = 3.001 Å, rel. 16
31.11°, d = 2.875 Å, rel. 34
31.45°, d = 2.845 Å, rel. 81
31.51°, d = 2.839 Å, rel. 44
33.56°, d = 2.671 Å, rel. 100
35.64°, d = 2.519 Å, rel. 26
36.93°, d = 2.434 Å, rel. 47
51.89°, d = 1.762 Å, rel. 19
55.07°, d = 1.668 Å, rel. 16
63.17°, d = 1.472 Å, rel. 21
63.25°, d = 1.470 Å, rel. 18

This entry pairs a crystal structure of DyHo2TmTl2 with its simulated X-ray powder pattern. Radiation: Cu Kα. Structure: a cell relaxed with GGA-PBE.
Kinematic intensities with the Lorentz-polarization factor, no thermal factor.

Structural model:
a b c (Å): 5.058 9.895 6.812
angles (deg): 90.00 90.00 90.00
Space group Pmc2_1 (No. 26)
Unique sites:
Dy 0.000 0.043 0.000 (multiplicity 2)
Ho 0.000 0.313 0.377 (multiplicity 2)
Ho 0.500 0.456 0.093 (multiplicity 2)
Tm 0.500 0.190 0.716 (multiplicity 2)
Tl 0.000 0.366 0.839 (multiplicity 2)
Tl 0.500 0.131 0.258 (multiplicity 2)

Largest 12 diffraction maxima, in order of rising 2θ, 2θ from 10° to 90°:
30.10°, d = 2.969 Å, rel. 21
31.67°, d = 2.825 Å, rel. 64
31.90°, d = 2.806 Å, rel. 22
32.41°, d = 2.763 Å, rel. 100
32.97°, d = 2.717 Å, rel. 84
35.05°, d = 2.560 Å, rel. 39
35.50°, d = 2.529 Å, rel. 61
37.97°, d = 2.369 Å, rel. 26
52.96°, d = 1.729 Å, rel. 20
61.80°, d = 1.501 Å, rel. 16
62.16°, d = 1.493 Å, rel. 16
69.42°, d = 1.354 Å, rel. 14

This entry pairs a crystal structure of DyY2HoTl2 with its simulated X-ray powder pattern. Radiation: Cu Kα. Structure: a cell relaxed with GGA-PBE.
Kinematic intensities with the Lorentz-polarization factor, no thermal factor.

Structural model:
a b c (Å): 5.083 9.965 6.842
angles (deg): 90.00 90.00 90.00
Space group Pmc2_1 (No. 26)
Unique sites:
Dy 0.000 0.044 0.000 (multiplicity 2)
Y 0.000 0.311 0.377 (multiplicity 2)
Y 0.500 0.456 0.095 (multiplicity 2)
Ho 0.500 0.188 0.718 (multiplicity 2)
Tl 0.000 0.367 0.839 (multiplicity 2)
Tl 0.500 0.131 0.256 (multiplicity 2)

Largest 12 diffraction maxima, in order of rising 2θ, 2θ from 10° to 90°:
22.07°, d = 4.028 Å, rel. 17
29.90°, d = 2.988 Å, rel. 19
31.52°, d = 2.838 Å, rel. 64
31.73°, d = 2.820 Å, rel. 20
32.19°, d = 2.781 Å, rel. 100
32.81°, d = 2.730 Å, rel. 87
34.83°, d = 2.576 Å, rel. 44
35.32°, d = 2.541 Å, rel. 61
37.75°, d = 2.383 Å, rel. 26
52.65°, d = 1.738 Å, rel. 20
61.81°, d = 1.501 Å, rel. 17
68.92°, d = 1.362 Å, rel. 16

This entry pairs a crystal structure of Dy2Ho7Tm3 with its simulated X-ray powder pattern. Radiation: Cu Kα. Structure: a cell relaxed with GGA-PBE.
Kinematic intensities with the Lorentz-polarization factor, no thermal factor.

Structural model:
a b c (Å): 6.247 3.475 17.183
angles (deg): 90.00 96.19 90.00
Space group P2/m (No. 10)
Unique sites:
Dy 0.062 0.000 0.173 (multiplicity 2)
Ho 0.000 0.500 0.500 (multiplicity 1)
Ho 0.226 0.000 0.668 (multiplicity 2)
Ho 0.256 0.000 0.998 (multiplicity 2)
Ho 0.275 0.500 0.335 (multiplicity 2)
Tm 0.449 0.500 0.843 (multiplicity 2)
Tm 0.500 0.000 0.500 (multiplicity 1)

Largest 12 diffraction maxima, in order of rising 2θ, 2θ from 10° to 90°:
30.19°, d = 2.960 Å, rel. 57
31.28°, d = 2.859 Å, rel. 79
31.42°, d = 2.847 Å, rel. 94
31.83°, d = 2.811 Å, rel. 100
34.35°, d = 2.611 Å, rel. 63
35.39°, d = 2.536 Å, rel. 80
51.14°, d = 1.786 Å, rel. 36
52.68°, d = 1.737 Å, rel. 23
53.80°, d = 1.704 Å, rel. 36
60.87°, d = 1.522 Å, rel. 37
61.61°, d = 1.505 Å, rel. 24
62.64°, d = 1.483 Å, rel. 26

This entry pairs a crystal structure of Dy2Ho3Tm3 with its simulated X-ray powder pattern. Radiation: Cu Kα. Structure: a cell relaxed with GGA-PBE.
Kinematic intensities with the Lorentz-polarization factor, no thermal factor.

Structural model:
a b c (Å): 4.958 4.960 19.851
angles (deg): 90.00 90.00 90.00
Space group Immm (No. 71)
Unique sites:
Dy 0.000 0.000 0.250 (multiplicity 4)
Ho 0.000 0.000 0.000 (multiplicity 2)
Ho 0.000 0.500 0.124 (multiplicity 4)
Tm 0.000 0.000 0.500 (multiplicity 2)
Tm 0.000 0.500 0.375 (multiplicity 4)

Largest 8 diffraction maxima, in order of rising 2θ, 2θ from 10° to 90°:
31.23°, d = 2.864 Å, rel. 100
36.22°, d = 2.480 Å, rel. 51
52.15°, d = 1.754 Å, rel. 36
62.06°, d = 1.496 Å, rel. 43
65.15°, d = 1.432 Å, rel. 12
76.88°, d = 1.240 Å, rel. 6
85.29°, d = 1.138 Å, rel. 18
88.06°, d = 1.109 Å, rel. 17

This entry pairs a crystal structure of Dy4HoTm10 with its simulated X-ray powder pattern. Radiation: Cu Kα. Structure: a cell relaxed with GGA-PBE.
Kinematic intensities with the Lorentz-polarization factor, no thermal factor.

Structural model:
a b c (Å): 11.999 11.999 7.575
angles (deg): 90.00 90.00 90.00
Space group I4/m (No. 87)
Unique sites:
Dy 0.101 0.299 0.000 (multiplicity 8)
Ho 0.000 0.000 0.500 (multiplicity 2)
Tm 0.000 0.500 0.250 (multiplicity 4)
Tm 0.099 0.800 0.250 (multiplicity 16)

Largest 12 diffraction maxima, in order of rising 2θ, 2θ from 10° to 90°:
20.28°, d = 4.379 Å, rel. 24
23.46°, d = 3.792 Å, rel. 15
33.42°, d = 2.681 Å, rel. 100
39.41°, d = 2.287 Å, rel. 13
41.24°, d = 2.189 Å, rel. 5
47.98°, d = 1.896 Å, rel. 18
52.60°, d = 1.740 Å, rel. 6
54.08°, d = 1.696 Å, rel. 6
59.73°, d = 1.548 Å, rel. 38
70.20°, d = 1.341 Å, rel. 12
79.96°, d = 1.200 Å, rel. 11
80.12°, d = 1.198 Å, rel. 6

This entry pairs a crystal structure of Dy4Ho2Tm with its simulated X-ray powder pattern. Radiation: Cu Kα. Structure: a cell relaxed with GGA-PBE.
Kinematic intensities with the Lorentz-polarization factor, no thermal factor.

Structural model:
a b c (Å): 3.5516 3.5516 19.8442
angles (deg): 90.00 90.00 120.00
Space group P3m1 (No. 156)
Unique sites:
Dy 0.0000 0.0000 0.0000 (multiplicity 1)
Dy 0.0000 0.0000 0.2829 (multiplicity 1)
Dy 0.6667 0.3333 0.4281 (multiplicity 1)
Dy 0.6667 0.3333 0.7137 (multiplicity 1)
Ho 0.3333 0.6667 0.5714 (multiplicity 1)
Ho 0.3333 0.6667 0.8567 (multiplicity 1)
Tm 0.3333 0.6667 0.1409 (multiplicity 1)

Largest 12 diffraction maxima, in order of rising 2θ, 2θ from 10° to 90°:
29.39°, d = 3.039 Å, rel. 38
31.56°, d = 2.835 Å, rel. 50
32.09°, d = 2.789 Å, rel. 100
34.30°, d = 2.614 Å, rel. 88
40.03°, d = 2.252 Å, rel. 15
51.46°, d = 1.776 Å, rel. 39
55.07°, d = 1.667 Å, rel. 21
59.39°, d = 1.556 Å, rel. 19
61.63°, d = 1.505 Å, rel. 45
61.95°, d = 1.498 Å, rel. 15
63.31°, d = 1.469 Å, rel. 15
88.20°, d = 1.108 Å, rel. 17